No. 1
The following is a theoretical powder XRD pattern of MgRePt2Pb. It was derived from the GGA-PBE geometry in Alexandria, using copper Kα.
Neutral-atom scattering factors, no anomalous dispersion.

Principal peaks in the range 2θ = 15–90°, low angle first:
2θ (°)  I/Imax
33.12  1000
37.49  206
38.89  372
55.13  274
56.18  130
64.89  149
66.79  274
69.51  138
79.99  24
83.50  43

Structural model:
```
data_MgRePt2Pb
_cell_length_a 4.6311
_cell_length_b 4.6311
_cell_length_c 4.7977
_cell_angle_alpha 90.00
_cell_angle_beta 90.00
_cell_angle_gamma 90.00
_symmetry_space_group_name_H-M 'P 4/m m m'
_symmetry_Int_Tables_number 123
_symmetry_space_group_name_Hall '-P 4 2'
loop_
_atom_site_label
_atom_site_type_symbol
_atom_site_fract_x
_atom_site_fract_y
_atom_site_fract_z
Mg1 Mg 0.0000 0.0000 0.0000
Re1 Re 0.0000 0.0000 0.5000
Pt1 Pt 0.0000 0.5000 0.0000
Pb1 Pb 0.5000 0.5000 0.5000
```



No. 2
The following is a theoretical powder XRD pattern of Pu2MgPb8. It was derived from the GGA-PBE geometry in Alexandria, using copper Kα.
Neutral-atom scattering factors, no anomalous dispersion.

Principal peaks in the range 2θ = 15–90°, low angle first:
2θ (°)  I/Imax
29.06  172
32.56  1000
37.04  367
39.22  96
50.07  115
53.39  130
55.04  147
60.09  116
63.94  328
84.55  94

Structural model:
```
data_Pu2MgPb8
_cell_length_a 4.8540
_cell_length_b 4.8540
_cell_length_c 13.7822
_cell_angle_alpha 90.00
_cell_angle_beta 90.00
_cell_angle_gamma 90.00
_symmetry_space_group_name_H-M 'P 4/m m m'
_symmetry_Int_Tables_number 123
_symmetry_space_group_name_Hall '-P 4 2'
loop_
_atom_site_label
_atom_site_type_symbol
_atom_site_fract_x
_atom_site_fract_y
_atom_site_fract_z
Pu1 Pu 0.0000 0.0000 0.1713
Mg1 Mg 0.0000 0.0000 0.5000
Pb1 Pb 0.0000 0.5000 0.0000
Pb2 Pb 0.0000 0.5000 0.3598
Pb3 Pb 0.5000 0.5000 0.1830
```



No. 3
The following is a theoretical powder XRD pattern of PuMgSnPb. It was derived from the GGA-PBE geometry in Alexandria, using copper Kα.
Neutral-atom scattering factors, no anomalous dispersion.

Principal peaks in the range 2θ = 15–90°, low angle first:
2θ (°)  I/Imax
18.58  245
27.19  202
33.13  1000
37.19  184
37.67  178
40.41  147
53.97  129
64.49  153
65.14  149
68.88  127

Structural model:
```
data_PuMgSnPb
_cell_length_a 4.4643
_cell_length_b 4.7757
_cell_length_c 4.8354
_cell_angle_alpha 90.00
_cell_angle_beta 90.00
_cell_angle_gamma 90.00
_symmetry_space_group_name_H-M 'P m m m'
_symmetry_Int_Tables_number 47
_symmetry_space_group_name_Hall '-P 2 2'
loop_
_atom_site_label
_atom_site_type_symbol
_atom_site_fract_x
_atom_site_fract_y
_atom_site_fract_z
Pu1 Pu 0.0000 0.0000 0.0000
Mg1 Mg 0.0000 0.5000 0.5000
Sn1 Sn 0.5000 0.5000 0.0000
Pb1 Pb 0.5000 0.0000 0.5000
```



No. 4
The following is a theoretical powder XRD pattern of PuMgTlPb. It was derived from the GGA-PBE geometry in Alexandria, using copper Kα.
Neutral-atom scattering factors, no anomalous dispersion.

Principal peaks in the range 2θ = 15–90°, low angle first:
2θ (°)  I/Imax
32.81  1000
36.16  194
37.21  179
40.70  140
52.86  133
55.56  121
62.92  161
64.33  149
68.78  130
69.11  121

Structural model:
```
data_PuMgTlPb
_cell_length_a 4.4333
_cell_length_b 4.8324
_cell_length_c 4.9681
_cell_angle_alpha 90.00
_cell_angle_beta 90.00
_cell_angle_gamma 90.00
_symmetry_space_group_name_H-M 'P m m m'
_symmetry_Int_Tables_number 47
_symmetry_space_group_name_Hall '-P 2 2'
loop_
_atom_site_label
_atom_site_type_symbol
_atom_site_fract_x
_atom_site_fract_y
_atom_site_fract_z
Pu1 Pu 0.0000 0.0000 0.0000
Mg1 Mg 0.0000 0.5000 0.5000
Tl1 Tl 0.5000 0.0000 0.5000
Pb1 Pb 0.5000 0.5000 0.0000
```



No. 5
The following is a theoretical powder XRD pattern of Rb2Mg5Pb12. It was derived from the GGA-PBE geometry in Alexandria, using copper Kα.
Neutral-atom scattering factors, no anomalous dispersion.

Principal peaks in the range 2θ = 15–90°, low angle first:
2θ (°)  I/Imax
15.96  592
21.20  224
25.05  271
27.89  715
31.35  407
32.03  1000
35.37  218
35.98  765
37.79  249
56.21  229

Structural model:
```
data_Rb2Mg5Pb12
_cell_length_a 11.1033
_cell_length_b 11.1033
_cell_length_c 17.1177
_cell_angle_alpha 90.00
_cell_angle_beta 90.00
_cell_angle_gamma 120.00
_symmetry_space_group_name_H-M 'R -3 m'
_symmetry_Int_Tables_number 166
_symmetry_space_group_name_Hall '-R 3 2"'
loop_
_atom_site_label
_atom_site_type_symbol
_atom_site_fract_x
_atom_site_fract_y
_atom_site_fract_z
Rb1 Rb 0.0000 0.0000 0.1458
Mg1 Mg 0.0000 0.0000 0.4017
Mg2 Mg 0.0000 0.5000 0.0000
Pb1 Pb 0.0000 0.2902 0.5000
Pb2 Pb 0.0185 0.5092 0.3494
```



No. 6
The following is a theoretical powder XRD pattern of RbMg2Pb. It was derived from the GGA-PBE geometry in Alexandria, using copper Kα.
Neutral-atom scattering factors, no anomalous dispersion.

Principal peaks in the range 2θ = 15–90°, low angle first:
2θ (°)  I/Imax
16.84  476
17.83  346
19.41  434
25.06  1000
27.41  562
30.97  482
32.69  498
35.05  297
45.32  292
47.46  299

Structural model:
```
data_RbMg2Pb
_cell_length_a 5.1205
_cell_length_b 5.0761
_cell_length_c 10.8359
_cell_angle_alpha 90.00
_cell_angle_beta 103.60
_cell_angle_gamma 90.00
_symmetry_space_group_name_H-M 'P 1 21 1'
_symmetry_Int_Tables_number 4
_symmetry_space_group_name_Hall 'P 2yb'
loop_
_atom_site_label
_atom_site_type_symbol
_atom_site_fract_x
_atom_site_fract_y
_atom_site_fract_z
Rb1 Rb 0.1865 0.0000 0.3751
Mg1 Mg 0.0473 0.5031 0.0966
Mg2 Mg 0.4571 0.5001 0.9139
Pb1 Pb 0.3817 0.0000 0.7607
```



No. 7
The following is a theoretical powder XRD pattern of RbMgPb5. It was derived from the GGA-PBE geometry in Alexandria, using copper Kα.
Neutral-atom scattering factors, no anomalous dispersion.

Principal peaks in the range 2θ = 15–90°, low angle first:
2θ (°)  I/Imax
15.54  211
24.52  109
26.78  155
31.11  1000
31.38  177
35.86  200
38.24  322
50.27  194
55.19  113
64.72  255

Structural model:
```
data_RbMgPb5
_cell_length_a 4.7073
_cell_length_b 4.7073
_cell_length_c 11.4036
_cell_angle_alpha 90.00
_cell_angle_beta 90.00
_cell_angle_gamma 90.00
_symmetry_space_group_name_H-M 'P 4/m m m'
_symmetry_Int_Tables_number 123
_symmetry_space_group_name_Hall '-P 4 2'
loop_
_atom_site_label
_atom_site_type_symbol
_atom_site_fract_x
_atom_site_fract_y
_atom_site_fract_z
Rb1 Rb 0.0000 0.0000 0.0000
Mg1 Mg 0.5000 0.5000 0.5000
Pb1 Pb 0.0000 0.0000 0.5000
Pb2 Pb 0.0000 0.5000 0.2798
```



No. 8
The following is a theoretical powder XRD pattern of Rb2MgPb6. It was derived from the GGA-PBE geometry in Alexandria, using copper Kα.
Neutral-atom scattering factors, no anomalous dispersion.

Principal peaks in the range 2θ = 15–90°, low angle first:
2θ (°)  I/Imax
17.46  194
25.26  165
28.46  591
29.57  1000
31.34  260
33.44  550
35.35  299
38.29  219
41.83  231
48.45  320

Structural model:
```
data_Rb2MgPb6
_cell_length_a 13.2797
_cell_length_b 7.1209
_cell_length_c 7.4636
_cell_angle_alpha 90.00
_cell_angle_beta 109.16
_cell_angle_gamma 90.00
_symmetry_space_group_name_H-M 'C 1 2/m 1'
_symmetry_Int_Tables_number 12
_symmetry_space_group_name_Hall '-C 2y'
loop_
_atom_site_label
_atom_site_type_symbol
_atom_site_fract_x
_atom_site_fract_y
_atom_site_fract_z
Rb1 Rb 0.1459 0.0000 0.3537
Mg1 Mg 0.0000 0.5000 0.5000
Pb1 Pb 0.1084 0.5000 0.1739
Pb2 Pb 0.1326 0.2522 0.8410
```



No. 9
The following is a theoretical powder XRD pattern of Rb3Mg2Pb4. It was derived from the GGA-PBE geometry in Alexandria, using copper Kα.
Neutral-atom scattering factors, no anomalous dispersion.

Principal peaks in the range 2θ = 15–90°, low angle first:
2θ (°)  I/Imax
20.03  492
21.22  253
25.81  215
28.99  1000
29.18  355
32.92  525
35.75  296
46.79  202
48.95  289
60.10  200

Structural model:
```
data_Rb3Mg2Pb4
_cell_length_a 14.0264
_cell_length_b 5.0230
_cell_length_c 10.8114
_cell_angle_alpha 90.00
_cell_angle_beta 102.76
_cell_angle_gamma 90.00
_symmetry_space_group_name_H-M 'C 1 2/m 1'
_symmetry_Int_Tables_number 12
_symmetry_space_group_name_Hall '-C 2y'
loop_
_atom_site_label
_atom_site_type_symbol
_atom_site_fract_x
_atom_site_fract_y
_atom_site_fract_z
Rb1 Rb 0.0000 0.0000 0.0000
Rb2 Rb 0.1233 0.5000 0.3978
Mg1 Mg 0.1602 0.5000 0.7960
Pb1 Pb 0.0978 0.0000 0.6651
Pb2 Pb 0.2167 0.5000 0.0894
```



No. 10
The following is a theoretical powder XRD pattern of RbMg2Pb. It was derived from the GGA-PBE geometry in Alexandria, using copper Kα.
Neutral-atom scattering factors, no anomalous dispersion.

Principal peaks in the range 2θ = 15–90°, low angle first:
2θ (°)  I/Imax
20.21  279
21.20  206
23.94  1000
32.78  553
35.39  468
43.17  215
44.05  97
44.14  103
48.97  121
57.01  191

Structural model:
```
data_RbMg2Pb
_cell_length_a 5.0722
_cell_length_b 5.0737
_cell_length_c 13.9514
_cell_angle_alpha 90.06
_cell_angle_beta 90.11
_cell_angle_gamma 119.99
_symmetry_space_group_name_H-M 'P -1'
_symmetry_Int_Tables_number 2
_symmetry_space_group_name_Hall '-P 1'
loop_
_atom_site_label
_atom_site_type_symbol
_atom_site_fract_x
_atom_site_fract_y
_atom_site_fract_z
Rb1 Rb 0.1631 0.3300 0.1563
Mg1 Mg 0.1663 0.3332 0.4502
Mg2 Mg 0.4990 0.9991 0.3855
Pb1 Pb 0.1684 0.3347 0.6694
```



No. 11
The following is a theoretical powder XRD pattern of RbMgPb11. It was derived from the GGA-PBE geometry in Alexandria, using copper Kα.
Neutral-atom scattering factors, no anomalous dispersion.

Principal peaks in the range 2θ = 15–90°, low angle first:
2θ (°)  I/Imax
27.34  426
30.28  642
31.05  1000
31.27  778
31.49  594
32.06  451
34.37  774
34.92  370
35.25  761
35.60  727

Structural model:
```
data_RbMgPb11
_cell_length_a 6.4939
_cell_length_b 16.0321
_cell_length_c 8.7743
_cell_angle_alpha 90.00
_cell_angle_beta 109.25
_cell_angle_gamma 90.00
_symmetry_space_group_name_H-M 'C 1 2/m 1'
_symmetry_Int_Tables_number 12
_symmetry_space_group_name_Hall '-C 2y'
loop_
_atom_site_label
_atom_site_type_symbol
_atom_site_fract_x
_atom_site_fract_y
_atom_site_fract_z
Rb1 Rb 0.0000 0.0000 0.0000
Mg1 Mg 0.0000 0.5000 0.5000
Pb1 Pb 0.0000 0.0000 0.5000
Pb2 Pb 0.1011 0.3919 0.2265
Pb3 Pb 0.1783 0.1765 0.3582
Pb4 Pb 0.2500 0.2500 0.0000
```



No. 12
The following is a theoretical powder XRD pattern of Mg5RhPb. It was derived from the GGA-PBE geometry in Alexandria, using copper Kα.
Neutral-atom scattering factors, no anomalous dispersion.

Principal peaks in the range 2θ = 15–90°, low angle first:
2θ (°)  I/Imax
22.99  1000
24.55  172
27.57  213
30.25  158
37.25  667
39.39  298
42.29  207
46.10  324
59.16  155
70.02  221

Structural model:
```
data_Mg5RhPb
_cell_length_a 6.4700
_cell_length_b 6.4697
_cell_length_c 14.5028
_cell_angle_alpha 90.00
_cell_angle_beta 90.00
_cell_angle_gamma 90.00
_symmetry_space_group_name_H-M 'C m c m'
_symmetry_Int_Tables_number 63
_symmetry_space_group_name_Hall '-C 2c 2'
loop_
_atom_site_label
_atom_site_type_symbol
_atom_site_fract_x
_atom_site_fract_y
_atom_site_fract_z
Mg1 Mg 0.0000 0.0014 0.2500
Mg2 Mg 0.2504 0.2489 0.5977
Rh1 Rh 0.0000 0.0000 0.0000
Pb1 Pb 0.0000 0.4987 0.7500
```



No. 13
The following is a theoretical powder XRD pattern of Mg7Rh2Pb. It was derived from the GGA-PBE geometry in Alexandria, using copper Kα.
Neutral-atom scattering factors, no anomalous dispersion.

Principal peaks in the range 2θ = 15–90°, low angle first:
2θ (°)  I/Imax
21.99  707
22.14  1000
22.83  769
24.02  833
31.91  603
36.08  413
36.33  373
38.67  436
39.84  367
41.94  510

Structural model:
```
data_Mg7Rh2Pb
_cell_length_a 8.0832
_cell_length_b 12.5062
_cell_length_c 4.9783
_cell_angle_alpha 90.00
_cell_angle_beta 90.00
_cell_angle_gamma 90.00
_symmetry_space_group_name_H-M 'C m m m'
_symmetry_Int_Tables_number 65
_symmetry_space_group_name_Hall '-C 2 2'
loop_
_atom_site_label
_atom_site_type_symbol
_atom_site_fract_x
_atom_site_fract_y
_atom_site_fract_z
Mg1 Mg 0.0000 0.0000 0.0000
Mg2 Mg 0.0000 0.1998 0.5000
Mg3 Mg 0.1934 0.3678 0.0000
Rh1 Rh 0.0000 0.2032 0.0000
Pb1 Pb 0.0000 0.5000 0.5000
```



No. 14
The following is a theoretical powder XRD pattern of Mg8Rh2Pb. It was derived from the GGA-PBE geometry in Alexandria, using copper Kα.
Neutral-atom scattering factors, no anomalous dispersion.

Principal peaks in the range 2θ = 15–90°, low angle first:
2θ (°)  I/Imax
21.04  820
23.90  304
24.02  1000
24.59  264
25.92  329
27.43  455
35.90  837
36.28  930
40.68  264
41.03  382

Structural model:
```
data_Mg8Rh2Pb
_cell_length_a 4.3991
_cell_length_b 6.9370
_cell_length_c 7.9673
_cell_angle_alpha 71.76
_cell_angle_beta 73.99
_cell_angle_gamma 89.94
_symmetry_space_group_name_H-M 'P -1'
_symmetry_Int_Tables_number 2
_symmetry_space_group_name_Hall '-P 1'
loop_
_atom_site_label
_atom_site_type_symbol
_atom_site_fract_x
_atom_site_fract_y
_atom_site_fract_z
Mg1 Mg 0.0449 0.2256 0.4095
Mg2 Mg 0.1719 0.7520 0.1585
Mg3 Mg 0.3159 0.5698 0.8685
Mg4 Mg 0.3754 0.0230 0.7473
Rh1 Rh 0.2102 0.1678 0.0790
Pb1 Pb 0.5000 0.5000 0.5000
```